Computed X-ray diffraction stick pattern of MgIn6Ag8 for Cu Kα, from a DFT-relaxed cell (GGA-PBE, Alexandria).
Peak positions follow from Bragg's law for the DFT cell and can differ from measured ones.

Peak list (10 most intense, 5 to 70 degrees two-theta, low angle first)
(1 1 0), 2θ 22.25, I 25
(2 0 1), 2θ 30.06, I 17
(3 -1 1), 2θ 37.72, I 42
(1 1 2), 2θ 38.31, I 100
(3 0 0), 2θ 39.05, I 69
(4 -1 1), 2θ 50.05, I 12
(4 -2 2), 2θ 55.86, I 21
(3 2 1), 2θ 60.45, I 14
(2 -1 4), 2θ 68.78, I 17
(4 -1 3), 2θ 68.88, I 9

```
MgIn6Ag8
1.0
7.9904 0.0000 0.0000
-3.9952 6.9199 0.0000
0.0000 0.0000 5.8093
Mg In Ag
1 6 8
Cartesian
0.0000 0.0000 0.0000 Mg
-1.4877 2.5768 4.7892 In
-2.5075 4.3431 1.0202 In
2.9754 0.0000 4.7892 In
1.4877 2.5768 1.0202 In
5.0150 0.0000 1.0202 In
2.5075 4.3431 4.7892 In
-1.1401 1.9747 1.9528 Ag
-2.8551 4.9452 3.8566 Ag
2.2802 0.0000 1.9528 Ag
1.1401 1.9747 3.8566 Ag
0.0000 4.6133 2.9047 Ag
3.9952 2.3066 2.9047 Ag
5.7102 0.0000 3.8566 Ag
2.8551 4.9452 1.9528 Ag
```